Structure and computed XRD peak list of LiCo4O8 (DFT lattice parameters and positions (PBE+U); CuKα).
Lines closer than 0.1° are merged.

Crystal structure
Cell lengths 5.703, 5.713, 9.905 Å; angles 73.67, 73.51, 60.15 degrees
Atoms (fractional coordinates):
Li 0.000 0.000 0.000
Li 0.498 0.497 0.512
Co 0.001 0.500 0.000
Co 0.247 0.250 0.256
Co 0.499 0.996 0.512
Co 0.500 0.000 0.000
Co 0.501 0.501 0.000
Co 0.750 0.747 0.756
Co 0.997 0.996 0.512
Co 0.999 0.496 0.511
O 0.092 0.642 0.623
O 0.130 0.128 0.614
O 0.144 0.145 0.109
O 0.145 0.599 0.112
O 0.354 0.352 0.405
O 0.354 0.897 0.400
O 0.366 0.368 0.899
O 0.404 0.854 0.888
O 0.601 0.146 0.109
O 0.635 0.632 0.101
O 0.644 0.092 0.625
O 0.645 0.642 0.621
O 0.854 0.406 0.887
O 0.854 0.852 0.889
O 0.867 0.864 0.410
O 0.898 0.352 0.402

Largest 8 diffraction maxima, in order of falling intensity, 2θ = 5–70°:
hkl 0 0 2, 19.00 deg, I = 100.0
hkl 0 2 -2, 44.65 deg, I = 17.2
hkl 2 0 -2, 44.82 deg, I = 17.0
hkl 2 2 4, 45.01 deg, I = 16.8
hkl 2 0 0, 36.96 deg, I = 15.4
hkl 0 2 0, 36.83 deg, I = 12.1
hkl 2 2 0, 38.59 deg, I = 9.8
hkl 2 -2 0, 65.22 deg, I = 8.8